(1)
Starting from a cell relaxed with GGA-PBE, the X-ray diffraction stick pattern of Tb4CePmEr2 was computed for Cu Kα.
Intensities are scaled so that the largest is 100.

The 6 most intense peaks (5 to 70 degrees two-theta), in order of rising 2θ:
30.8 deg, I = 100; 35.7 deg, I = 51; 51.4 deg, I = 36; 61.1 deg, I = 14; 61.2 deg, I = 28; 64.2 deg, I = 12

Atomic structure:
Lattice parameters (Å, degrees): 5.0247 5.0355 10.0440 90.00 90.00 90.00
Atoms (fractional coordinates):
Tb: 0.0000 0.0000 0.2469
Tb: 0.0000 0.0000 0.7531
Tb: 0.5000 0.5000 0.2474
Tb: 0.5000 0.5000 0.7526
Ce: 0.0000 0.5000 0.0000
Pm: 0.5000 0.0000 0.5000
Er: 0.0000 0.5000 0.5000
Er: 0.5000 0.0000 0.0000

***

(2)
Starting from a cell relaxed with GGA-PBE, the X-ray diffraction stick pattern of Co4Ni8Ir was computed for Cu Kα.
Intensities are scaled so that the largest is 100.

The 8 most intense peaks (5 to 70 degrees two-theta), in order of rising 2θ:
16.1 deg, I = 18; 22.8 deg, I = 28; 36.5 deg, I = 25; 40.1 deg, I = 12; 46.7 deg, I = 100; 49.7 deg, I = 9; 63.2 deg, I = 7; 68.1 deg, I = 15

Atomic structure:
Lattice parameters (Å, degrees): 5.5070 5.5070 5.5070 90.00 90.00 90.00
Atoms (fractional coordinates):
Co: 0.0000 0.0000 0.0000
Co: 0.0000 0.5000 0.5000
Co: 0.5000 0.0000 0.5000
Co: 0.5000 0.5000 0.0000
Ni: 0.2369 0.2369 0.2369
Ni: 0.2369 0.2369 0.7631
Ni: 0.2369 0.7631 0.2369
Ni: 0.2369 0.7631 0.7631
Ni: 0.7631 0.2369 0.2369
Ni: 0.7631 0.2369 0.7631
Ni: 0.7631 0.7631 0.2369
Ni: 0.7631 0.7631 0.7631
Ir: 0.5000 0.5000 0.5000

***

(3)
Starting from a cell relaxed with GGA-PBE, the X-ray diffraction stick pattern of Hf6FeRe2 was computed for Cu Kα.
Intensities are scaled so that the largest is 100.

The 8 most intense peaks (5 to 70 degrees two-theta), in order of rising 2θ:
32.0 deg, I = 66; 35.3 deg, I = 100; 35.6 deg, I = 48; 36.6 deg, I = 50; 36.9 deg, I = 76; 37.2 deg, I = 48; 39.2 deg, I = 88; 41.3 deg, I = 61

Atomic structure:
Lattice parameters (Å, degrees): 5.5424 7.1431 10.2647 90.00 118.67 90.00
Atoms (fractional coordinates):
Hf: 0.0900 0.1668 0.4480
Hf: 0.0900 0.3332 0.9480
Hf: 0.3148 0.6869 0.4398
Hf: 0.3148 0.8131 0.9398
Hf: 0.3889 0.0385 0.2570
Hf: 0.3889 0.4615 0.7570
Hf: 0.6111 0.5385 0.2430
Hf: 0.6111 0.9615 0.7430
Hf: 0.6852 0.1869 0.0602
Hf: 0.6852 0.3131 0.5602
Hf: 0.9100 0.6668 0.0520
Hf: 0.9100 0.8332 0.5520
Fe: 0.0000 0.0000 0.0000
Fe: 0.0000 0.5000 0.5000
Re: 0.1492 0.1128 0.7522
Re: 0.1492 0.3872 0.2522
Re: 0.8508 0.6128 0.7478
Re: 0.8508 0.8872 0.2478

***

(4)
Starting from a cell relaxed with GGA-PBE, the X-ray diffraction stick pattern of CeZnPd was computed for Cu Kα.
Intensities are scaled so that the largest is 100.

The 8 most intense peaks (5 to 70 degrees two-theta), in order of rising 2θ:
22.6 deg, I = 9; 34.5 deg, I = 100; 39.8 deg, I = 64; 52.7 deg, I = 9; 53.6 deg, I = 28; 58.0 deg, I = 2; 68.0 deg, I = 25; 68.8 deg, I = 26

Atomic structure:
Lattice parameters (Å, degrees): 4.5351 4.5351 3.4763 90.00 90.00 120.00
Atoms (fractional coordinates):
Ce: 0.0000 0.0000 0.0000
Zn: 0.3333 0.6667 0.5000
Pd: 0.6667 0.3333 0.5000

***

(5)
Starting from a cell relaxed with GGA-PBE, the X-ray diffraction stick pattern of Pa2Ni3Pt2 was computed for Cu Kα.
Intensities are scaled so that the largest is 100.

The 8 most intense peaks (5 to 70 degrees two-theta), in order of rising 2θ:
32.1 deg, I = 100; 36.0 deg, I = 19; 39.6 deg, I = 20; 42.9 deg, I = 40; 46.0 deg, I = 24; 51.8 deg, I = 15; 57.2 deg, I = 25; 59.8 deg, I = 12

Atomic structure:
Lattice parameters (Å, degrees): 6.8304 6.8304 6.8304 109.47 109.47 109.47
Atoms (fractional coordinates):
Pa: 0.0000 0.5127 0.5000
Pa: 0.5000 0.0000 0.5127
Pa: 0.5127 0.5000 0.0000
Pa: 0.9873 0.9873 0.9873
Ni: 0.0393 0.2893 0.7500
Ni: 0.2107 0.2500 0.4607
Ni: 0.2500 0.4607 0.2107
Ni: 0.2893 0.7500 0.0393
Ni: 0.4607 0.2107 0.2500
Ni: 0.7500 0.0393 0.2893
Pt: 0.0000 0.8924 0.5000
Pt: 0.5000 0.0000 0.8924
Pt: 0.6076 0.6076 0.6076
Pt: 0.8924 0.5000 0.0000

***

(6)
Starting from a cell relaxed with GGA-PBE, the X-ray diffraction stick pattern of CeZrCu4 was computed for Cu Kα.
Intensities are scaled so that the largest is 100.

The 8 most intense peaks (5 to 70 degrees two-theta), in order of rising 2θ:
23.7 deg, I = 11; 27.6 deg, I = 11; 37.1 deg, I = 100; 41.6 deg, I = 74; 42.8 deg, I = 4; 56.9 deg, I = 28; 58.2 deg, I = 5; 61.2 deg, I = 9

Atomic structure:
Lattice parameters (Å, degrees): 4.3421 4.3421 6.3404 90.00 90.00 120.00
Atoms (fractional coordinates):
Ce: 0.0000 0.0000 0.0000
Zr: 0.0000 0.0000 0.5000
Cu: 0.3333 0.6667 0.2875
Cu: 0.3333 0.6667 0.7125
Cu: 0.6667 0.3333 0.2875
Cu: 0.6667 0.3333 0.7125

***

(7)
Starting from a cell relaxed with GGA-PBE, the X-ray diffraction stick pattern of KTlIn2Sn was computed for Cu Kα.
Intensities are scaled so that the largest is 100.

The 8 most intense peaks (5 to 70 degrees two-theta), in order of rising 2θ:
13.7 deg, I = 31; 18.9 deg, I = 45; 19.0 deg, I = 46; 28.7 deg, I = 94; 35.6 deg, I = 41; 35.9 deg, I = 40; 37.6 deg, I = 100; 39.2 deg, I = 39

Atomic structure:
Lattice parameters (Å, degrees): 7.3796 7.3796 7.3796 140.35 139.98 57.60
Atoms (fractional coordinates):
K: 0.0000 0.0000 0.0000
Tl: 0.6093 0.6093 0.0000
In: 0.3816 0.3816 0.0000
In: 0.7514 0.2514 0.5000
Sn: 0.2505 0.7505 0.5000

***

(8)
Starting from a cell relaxed with GGA-PBE, the X-ray diffraction stick pattern of ErCdInNi was computed for Cu Kα.
Intensities are scaled so that the largest is 100.

The 8 most intense peaks (5 to 70 degrees two-theta), in order of rising 2θ:
22.5 deg, I = 5; 26.1 deg, I = 6; 37.2 deg, I = 100; 44.0 deg, I = 3; 46.0 deg, I = 2; 53.7 deg, I = 17; 60.6 deg, I = 3; 67.1 deg, I = 34

Atomic structure:
Lattice parameters (Å, degrees): 4.8307 4.8307 4.8307 60.00 60.00 60.00
Atoms (fractional coordinates):
Er: 0.0000 0.0000 0.0000
Cd: 0.7500 0.7500 0.7500
In: 0.5000 0.5000 0.5000
Ni: 0.2500 0.2500 0.2500

***

(9)
Starting from a cell relaxed with GGA-PBE, the X-ray diffraction stick pattern of Mn3V7 was computed for Cu Kα.
Intensities are scaled so that the largest is 100.

The 8 most intense peaks (5 to 70 degrees two-theta), in order of rising 2θ:
13.2 deg, I = 19; 35.8 deg, I = 20; 39.7 deg, I = 63; 40.2 deg, I = 22; 44.2 deg, I = 96; 45.1 deg, I = 100; 46.7 deg, I = 32; 48.8 deg, I = 20

Atomic structure:
Lattice parameters (Å, degrees): 7.7728 7.7728 5.0141 90.00 90.00 120.00
Atoms (fractional coordinates):
Mn: 0.2224 0.4447 0.2500
Mn: 0.2224 0.7776 0.2500
Mn: 0.4447 0.2224 0.7500
Mn: 0.5553 0.7776 0.2500
Mn: 0.7776 0.2224 0.7500
Mn: 0.7776 0.5553 0.7500
V: 0.0000 0.5000 0.0000
V: 0.0000 0.5000 0.5000
V: 0.1225 0.2450 0.7500
V: 0.1225 0.8775 0.7500
V: 0.2450 0.1225 0.2500
V: 0.3333 0.6667 0.7500
V: 0.5000 0.0000 0.0000
V: 0.5000 0.0000 0.5000
V: 0.5000 0.5000 0.0000
V: 0.5000 0.5000 0.5000
V: 0.6667 0.3333 0.2500
V: 0.7550 0.8775 0.7500
V: 0.8775 0.1225 0.2500
V: 0.8775 0.7550 0.2500

***

(10)
Starting from a cell relaxed with GGA-PBE, the X-ray diffraction stick pattern of KBa2Au was computed for Cu Kα.
Intensities are scaled so that the largest is 100.

The 8 most intense peaks (5 to 70 degrees two-theta), in order of rising 2θ:
7.8 deg, I = 100; 22.0 deg, I = 16; 25.1 deg, I = 53; 30.1 deg, I = 27; 34.0 deg, I = 13; 37.5 deg, I = 23; 38.3 deg, I = 16; 40.7 deg, I = 19

Atomic structure:
Lattice parameters (Å, degrees): 11.6774 11.6774 11.6774 23.73 23.73 23.73
Atoms (fractional coordinates):
K: 0.0000 0.0000 0.0000
Ba: 0.5512 0.5512 0.5512
Ba: 0.7808 0.7808 0.7808
Au: 0.1659 0.1659 0.1659